No. 1
Structure and computed XRD peak list of Y8MgCu7O20 (a structure optimized by DFT (GGA-PBE); Cu Ka).
No peak broadening, texture or thermal motion is included.

Largest 12 diffraction maxima, by angle, 2θ = 15–90°:
2θ 26.6, 3.347 Å, I = 18, (0 2 -3)
2θ 30.1, 2.970 Å, I = 26, (1 -2 0)
2θ 30.2, 2.958 Å, I = 18, (1 2 0)
2θ 31.0, 2.889 Å, I = 100, (1 2 -1)
2θ 31.1, 2.876 Å, I = 28, (1 2 1)
2θ 32.6, 2.744 Å, I = 45, (0 2 -4)
2θ 32.9, 2.726 Å, I = 72, (0 2 4)
2θ 33.1, 2.707 Å, I = 61, (1 0 3)
2θ 44.3, 2.043 Å, I = 20, (1 4 -2)
2θ 47.3, 1.922 Å, I = 18, (-1 4 3)
2θ 51.1, 1.787 Å, I = 15, (1 -4 4)
2θ 51.8, 1.766 Å, I = 20, (2 0 0)

Lattice parameters (Å, degrees): 3.5316 10.9031 12.6466 90.44 90.16 90.26
Space group P1 (No. 1)
Asymmetric unit:
Y1 0.0000 0.0000 0.0000 [1 per cell]
Y2 0.0011 0.1673 0.6754 [1 per cell]
Y3 0.0451 0.6688 0.6705 [1 per cell]
Y4 0.0496 0.5000 0.0047 [1 per cell]
Y5 0.4961 0.4188 0.5022 [1 per cell]
Y6 0.4971 0.2508 0.1763 [1 per cell]
Y7 0.5555 0.7518 0.1744 [1 per cell]
Y8 0.5567 0.9196 0.5019 [1 per cell]
Mg1 0.5391 0.7096 0.8860 [1 per cell]
Cu1 0.1175 0.9735 0.2855 [1 per cell]
Cu2 0.1193 0.7015 0.3902 [1 per cell]
Cu3 0.4389 0.2200 0.8907 [1 per cell]
Cu4 0.4395 0.9446 0.7847 [1 per cell]
Cu5 0.6197 0.4505 0.7875 [1 per cell]
Cu6 0.9338 0.2001 0.3919 [1 per cell]
Cu7 0.9357 0.4738 0.2868 [1 per cell]
O1 0.0007 0.5355 0.4387 [1 per cell]
O2 0.0063 0.3830 0.1488 [1 per cell]
O3 0.0076 0.6045 0.8453 [1 per cell]
O4 0.0498 0.8840 0.1462 [1 per cell]
O5 0.0523 0.7886 0.5270 [1 per cell]
O6 0.0549 0.0351 0.4364 [1 per cell]
O7 0.0574 0.6386 0.2422 [1 per cell]
O8 0.1292 0.0820 0.8375 [1 per cell]
O9 0.4291 0.8387 0.3372 [1 per cell]
O10 0.5027 0.2821 0.7425 [1 per cell]
O11 0.5040 0.1351 0.0293 [1 per cell]
O12 0.5043 0.8845 0.9347 [1 per cell]
O13 0.5065 0.0365 0.6475 [1 per cell]
O14 0.5465 0.6290 0.0324 [1 per cell]
O15 0.5458 0.7796 0.7334 [1 per cell]
O16 0.5498 0.5315 0.6513 [1 per cell]
O17 0.5596 0.3891 0.9322 [1 per cell]
O18 0.6296 0.3375 0.3392 [1 per cell]
O19 0.9938 0.1384 0.2420 [1 per cell]
O20 0.9987 0.2872 0.5310 [1 per cell]


No. 2
Structure and computed XRD peak list of Mg6ZnCuO8 (a structure optimized by DFT (GGA-PBE); Cu Ka).
No peak broadening, texture or thermal motion is included.

Largest 12 diffraction maxima, by angle, 2θ = 15–90°:
2θ 20.8, 4.262 Å, I = 9, (0 0 2)
2θ 29.7, 3.012 Å, I = 8, (1 1 0)
2θ 31.5, 2.840 Å, I = 17, (0 0 3)
2θ 36.5, 2.460 Å, I = 31, (1 1 2)
2θ 42.4, 2.130 Å, I = 100, (2 0 0)
2θ 43.8, 2.067 Å, I = 12, (1 1 3)
2θ 47.7, 1.905 Å, I = 4, (2 0 2)
2θ 53.8, 1.704 Å, I = 4, (0 0 5)
2θ 61.6, 1.506 Å, I = 57, (2 2 0)
2θ 70.8, 1.331 Å, I = 5, (2 0 5)
2θ 73.8, 1.285 Å, I = 15, (3 1 2)
2θ 77.6, 1.230 Å, I = 17, (2 2 4)

Lattice parameters (Å, degrees): 4.2601 4.2601 8.5242 90.00 90.00 90.00
Space group P4/mmm (No. 123)
Asymmetric unit:
Mg1 0.0000 0.0000 0.0000 [1 per cell]
Mg2 0.0000 0.5000 0.2519 [4 per cell]
Mg3 0.5000 0.5000 0.0000 [1 per cell]
Zn1 0.0000 0.0000 0.5000 [1 per cell]
Cu1 0.5000 0.5000 0.5000 [1 per cell]
O1 0.0000 0.0000 0.2475 [2 per cell]
O2 0.0000 0.5000 0.0000 [2 per cell]
O3 0.0000 0.5000 0.5000 [2 per cell]
O4 0.5000 0.5000 0.2481 [2 per cell]


No. 3
Structure and computed XRD peak list of Mg6ZnCuO8 (a structure optimized by DFT (GGA-PBE); Cu Ka).
No peak broadening, texture or thermal motion is included.

Largest 12 diffraction maxima, by angle, 2θ = 15–90°:
2θ 20.9, 4.260 Å, I = 28, (1 0 0)
2θ 29.7, 3.012 Å, I = 24, (1 1 0)
2θ 36.5, 2.459 Å, I = 31, (1 1 2)
2θ 42.4, 2.130 Å, I = 100, (2 0 0)
2θ 47.7, 1.905 Å, I = 13, (2 1 0)
2θ 52.6, 1.739 Å, I = 9, (2 1 2)
2θ 61.6, 1.506 Å, I = 57, (2 2 0)
2θ 65.8, 1.420 Å, I = 6, (0 0 6)
2θ 69.8, 1.347 Å, I = 4, (3 1 0)
2θ 73.8, 1.284 Å, I = 15, (3 1 2)
2θ 77.7, 1.230 Å, I = 17, (2 2 4)
2θ 85.2, 1.138 Å, I = 4, (3 2 2)

Lattice parameters (Å, degrees): 4.2584 4.2584 8.5239 90.00 90.00 90.00
Space group P4/mmm (No. 123)
Asymmetric unit:
Mg1 0.0000 0.0000 0.0000 [1 per cell]
Mg2 0.0000 0.0000 0.5000 [1 per cell]
Mg3 0.0000 0.5000 0.2488 [4 per cell]
Zn1 0.5000 0.5000 0.5000 [1 per cell]
Cu1 0.5000 0.5000 0.0000 [1 per cell]
O1 0.0000 0.0000 0.2502 [2 per cell]
O2 0.0000 0.5000 0.0000 [2 per cell]
O3 0.0000 0.5000 0.5000 [2 per cell]
O4 0.5000 0.5000 0.2506 [2 per cell]


No. 4
Structure and computed XRD peak list of MgCuPb (a structure optimized by DFT (GGA-PBE); Cu Ka).
No peak broadening, texture or thermal motion is included.

Largest 11 diffraction maxima, by angle, 2θ = 15–90°:
2θ 24.1, 3.696 Å, I = 99, (1 1 1)
2θ 27.9, 3.201 Å, I = 36, (2 0 0)
2θ 39.8, 2.263 Å, I = 100, (2 2 0)
2θ 47.1, 1.930 Å, I = 52, (3 1 1)
2θ 49.3, 1.848 Å, I = 11, (2 2 2)
2θ 57.6, 1.600 Å, I = 17, (4 0 0)
2θ 63.3, 1.469 Å, I = 22, (3 3 1)
2θ 65.2, 1.431 Å, I = 15, (4 2 0)
2θ 72.3, 1.307 Å, I = 34, (4 2 2)
2θ 77.5, 1.232 Å, I = 17, (5 1 1)
2θ 85.9, 1.132 Å, I = 11, (4 4 0)

Lattice parameters (Å, degrees): 6.4013 6.4013 6.4013 90.00 90.00 90.00
Space group F-43m (No. 216)
Asymmetric unit:
Mg1 0.0000 0.0000 0.0000 [4 per cell]
Cu1 0.2500 0.2500 0.7500 [4 per cell]
Pb1 0.0000 0.0000 0.5000 [4 per cell]


No. 5
Structure and computed XRD peak list of Pr2MgCu2 (a structure optimized by DFT (GGA-PBE); Cu Ka).
No peak broadening, texture or thermal motion is included.

Largest 12 diffraction maxima, by angle, 2θ = 15–90°:
2θ 15.8, 5.598 Å, I = 22, (1 1 0)
2θ 22.5, 3.958 Å, I = 16, (2 0 0)
2θ 25.2, 3.541 Å, I = 15, (2 1 0)
2θ 32.6, 2.744 Å, I = 32, (2 0 1)
2θ 34.6, 2.593 Å, I = 100, (2 1 1)
2θ 35.9, 2.504 Å, I = 23, (3 1 0)
2θ 47.3, 1.920 Å, I = 17, (4 1 0)
2θ 47.8, 1.904 Å, I = 13, (0 0 2)
2θ 53.4, 1.715 Å, I = 21, (4 1 1)
2θ 54.8, 1.676 Å, I = 14, (3 3 1)
2θ 64.8, 1.438 Å, I = 12, (5 1 1)
2θ 69.5, 1.352 Å, I = 11, (4 1 2)

Lattice parameters (Å, degrees): 7.9170 7.9170 3.8075 90.00 90.00 90.00
Space group P4/mbm (No. 127)
Asymmetric unit:
Pr1 0.1780 0.3220 0.0000 [4 per cell]
Mg1 0.0000 0.0000 0.5000 [2 per cell]
Cu1 0.1164 0.6164 0.5000 [4 per cell]


No. 6
Structure and computed XRD peak list of Rb4MgTi2Cu4S8 (a structure optimized by DFT (GGA-PBE); Cu Ka).
No peak broadening, texture or thermal motion is included.

Largest 12 diffraction maxima, by angle, 2θ = 15–90°:
2θ 20.4, 4.364 Å, I = 32, (1 1 2)
2θ 23.6, 3.762 Å, I = 15, (2 0 1)
2θ 24.6, 3.624 Å, I = 28, (0 2 2)
2θ 27.1, 3.296 Å, I = 34, (0 0 4)
2θ 28.9, 3.087 Å, I = 54, (0 2 3)
2θ 30.5, 2.928 Å, I = 70, (2 0 3)
2θ 33.7, 2.662 Å, I = 100, (2 2 2)
2θ 41.4, 2.182 Å, I = 16, (2 2 4)
2θ 41.6, 2.169 Å, I = 23, (0 4 0)
2θ 46.3, 1.962 Å, I = 29, (4 0 0)
2θ 52.2, 1.754 Å, I = 49, (2 2 6)
2θ 55.5, 1.656 Å, I = 13, (4 2 3)

Lattice parameters (Å, degrees): 7.8512 8.6770 13.1845 90.00 90.00 90.00
Space group Cmmm (No. 65)
Asymmetric unit:
Rb1 0.0000 0.1760 0.0000 [4 per cell]
Rb2 0.2342 0.0000 0.5000 [4 per cell]
Mg1 0.0000 0.5000 0.0000 [2 per cell]
Ti1 0.0000 0.5000 0.2599 [4 per cell]
Cu1 0.2500 0.2500 0.2534 [8 per cell]
S1 0.0000 0.2671 0.3449 [8 per cell]
S2 0.2220 0.5000 0.1439 [8 per cell]